Record 1
Diffraction record for Ba2ZnPb2Au. The X-ray powder pattern is theoretical, not measured: it uses the PBE geometry in OQMD and Cu Kα (λ = 1.5418 Å).

Cell and atoms:
Cell: 4.8975 4.8975 9.9261 Å, 90.00 90.00 120.00°
Space group P-6m2 (No. 187)
Symmetry-distinct sites (fractional):
Ba 0.0000 0.0000 0.2439 [2 per cell]
Zn 0.3333 0.6667 0.5000 [1 per cell]
Pb 0.3333 0.6667 0.0000 [1 per cell]
Pb 0.6667 0.3333 0.5000 [1 per cell]
Au 0.6667 0.3333 0.0000 [1 per cell]

Main lines, low angle first (10 to 90 degrees two-theta):
- 17.87 deg, I 21, (0 0 2)
- 27.67 deg, I 100, (1 0 2)
- 36.70 deg, I 57, (1 1 0)
- 46.57 deg, I 24, (2 0 2)
- 52.50 deg, I 41, (1 1 4)
- 60.71 deg, I 22, (2 1 2)

***

Record 2
Diffraction record for Ba6PdAu. The X-ray powder pattern is theoretical, not measured: it uses the PBE geometry in OQMD and Cu Kα (λ = 1.5418 Å).

Cell and atoms:
Cell: 7.9551 7.9551 22.8623 Å, 90.00 90.00 120.00°
Space group R-3 (No. 148, hexagonal axes)
Symmetry-distinct sites (fractional):
Ba 0.0027 0.3277 0.0815 [18 per cell]
Pd 0.0000 0.0000 0.0000 [3 per cell]
Au 0.0000 0.0000 0.5000 [3 per cell]

Main lines, low angle first (10 to 90 degrees two-theta):
- 15.01 deg, I 36, (0 1 2)
- 25.26 deg, I 100, (1 1 3)
- 32.54 deg, I 54, (2 -1 6)
- 39.23 deg, I 39, (3 0 0)
- 42.21 deg, I 25, (2 -1 9)
- 47.23 deg, I 22, (4 -2 3)

***

Record 3
Diffraction record for BaPrAu4. The X-ray powder pattern is theoretical, not measured: it uses the PBE geometry in OQMD and Cu Kα (λ = 1.5418 Å).

Cell and atoms:
Cell: 4.6091 7.7651 8.6251 Å, 90.00 90.00 90.00°
Space group Imm2 (No. 44)
Symmetry-distinct sites (fractional):
Ba 0.0000 0.0000 0.0000 [2 per cell]
Pr 0.0000 0.5000 0.0418 [2 per cell]
Au 0.0000 0.1989 0.3575 [4 per cell]
Au 0.0000 0.2426 0.6812 [4 per cell]

Main lines, low angle first (10 to 90 degrees two-theta):
- 22.91 deg, I 25, (0 2 0)
- 30.99 deg, I 44, (0 2 2)
- 31.87 deg, I 100, (1 2 1)
- 36.85 deg, I 88, (1 0 3)
- 39.09 deg, I 39, (2 0 0)
- 50.70 deg, I 22, (2 2 2)

***

Record 4
Diffraction record for Ba6PtAu2. The X-ray powder pattern is theoretical, not measured: it uses the PBE geometry in OQMD and Cu Kα (λ = 1.5418 Å).

Cell and atoms:
Cell: 7.8920 8.5344 13.6774 Å, 90.00 120.12 90.00°
Space group P2_1/c (No. 14)
Symmetry-distinct sites (fractional):
Ba 0.0767 0.0548 0.2418 [4 per cell]
Ba 0.2518 0.6877 0.0826 [4 per cell]
Ba 0.3831 0.1797 0.0636 [4 per cell]
Pt 0.0000 0.0000 0.0000 [2 per cell]
Au 0.3263 0.1118 0.7736 [4 per cell]

Main lines, low angle first (10 to 90 degrees two-theta):
- 12.79 deg, I 74, (0 1 1)
- 25.48 deg, I 100, (2 1 -1)
- 26.14 deg, I 77, (1 0 -4)
- 27.63 deg, I 66, (1 2 1)
- 28.18 deg, I 84, (1 1 -4)
- 30.89 deg, I 59, (0 2 3)

***

Record 5
Diffraction record for BaScTe2AuS. The X-ray powder pattern is theoretical, not measured: it uses the PBE geometry in OQMD and Cu Kα (λ = 1.5418 Å).

Cell and atoms:
Cell: 4.2850 14.6676 10.6796 Å, 90.00 90.00 90.00°
Space group Cmcm (No. 63)
Symmetry-distinct sites (fractional):
Ba 0.0000 0.2343 0.2500 [4 per cell]
Sc 0.0000 0.5000 0.0000 [4 per cell]
Te 0.0000 0.1377 0.5460 [8 per cell]
Au 0.0000 0.0233 0.7500 [4 per cell]
S 0.0000 0.4312 0.7500 [4 per cell]

Main lines, low angle first (10 to 90 degrees two-theta):
- 21.61 deg, I 92, (1 1 0)
- 28.94 deg, I 84, (1 3 1)
- 29.55 deg, I 95, (0 4 2)
- 32.45 deg, I 100, (1 3 2)
- 33.57 deg, I 47, (0 0 4)
- 40.94 deg, I 52, (1 5 2)

***

Record 6
Diffraction record for BaSiAu2Se3S. The X-ray powder pattern is theoretical, not measured: it uses the PBE geometry in OQMD and Cu Kα (λ = 1.5418 Å).

Cell and atoms:
Cell: 6.6013 6.6378 6.6570 Å, 73.97 60.31 60.90°
Space group P1 (No. 1)
Symmetry-distinct sites (fractional):
Ba 0.0000 0.0000 0.0000 [1 per cell]
Si 0.4878 0.5009 0.5103 [1 per cell]
Au 0.1730 0.3180 0.3251 [1 per cell]
Au 0.8360 0.6666 0.6811 [1 per cell]
Se 0.4665 0.5104 0.1693 [1 per cell]
Se 0.5355 0.8301 0.4976 [1 per cell]
Se 0.8414 0.1652 0.5184 [1 per cell]
S 0.1533 0.4964 0.8214 [1 per cell]

Main lines, low angle first (10 to 90 degrees two-theta):
- 22.23 deg, I 62, (0 1 -1)
- 27.60 deg, I 86, (1 1 2)
- 34.00 deg, I 100, (0 2 1)
- 35.10 deg, I 47, (2 0 2)
- 35.41 deg, I 56, (2 2 0)
- 42.53 deg, I 60, (1 3 0)